Record 1
Cs3BiSb: calculated powder diffractogram (CuKα), based on DFT lattice parameters and positions (PBE).
Kinematic intensities with the Lorentz-polarization factor, no thermal factor.

Structure:
Cell: 7.651 7.174 19.508 Å, 90.00 105.41 90.00°
Space group P2/c (No. 13)
Inequivalent atoms, fractional coordinates:
Cs  0.007  0.158  0.376 x4
Cs  0.292  0.449  0.785 x4
Cs  0.327  0.249  0.996 x4
Bi  0.240  0.278  0.589 x4
Sb  0.496  0.015  0.176 x4

The 12 most intense peaks (5 to 70 degrees two-theta), sorted by position:
(1 0 -2), 2θ = 13.15°, I = 269
(1 0 4), 2θ = 25.02°, I = 316
(0 2 1), 2θ = 25.28°, I = 157
(2 1 -1), 2θ = 26.46°, I = 461
(1 1 -5), 2θ = 26.62°, I = 1000
(2 1 0), 2θ = 27.19°, I = 305
(2 1 -3), 2θ = 27.55°, I = 302
(1 0 -6), 2θ = 27.81°, I = 162
(1 2 2), 2θ = 30.32°, I = 264
(1 1 5), 2θ = 31.98°, I = 145
(1 1 -7), 2θ = 34.69°, I = 144
(1 2 -8), 2θ = 45.00°, I = 127



Record 2
CsBiSbSe3: calculated powder diffractogram (CuKα), based on DFT lattice parameters and positions (PBE).
Kinematic intensities with the Lorentz-polarization factor, no thermal factor.

Structure:
Cell: 9.161 4.545 11.796 Å, 90.00 112.34 90.00°
Space group P2_1/m (No. 11)
Inequivalent atoms, fractional coordinates:
Cs  0.033  0.250  0.266 x2
Bi  0.473  0.750  0.846 x2
Sb  0.421  0.250  0.549 x2
Se  0.256  0.750  0.580 x2
Se  0.302  0.250  0.902 x2
Se  0.356  0.750  0.233 x2

The 12 most intense peaks (5 to 70 degrees two-theta), sorted by position:
(1 0 0), 2θ = 10.45°, I = 1000
(0 1 1), 2θ = 21.15°, I = 243
(1 1 -2), 2θ = 25.10°, I = 415
(2 1 -2), 2θ = 28.91°, I = 871
(1 0 3), 2θ = 30.20°, I = 442
(2 1 1), 2θ = 32.15°, I = 269
(3 1 -2), 2θ = 35.69°, I = 271
(0 2 0), 2θ = 39.66°, I = 271
(3 1 1), 2θ = 41.07°, I = 272
(1 1 -5), 2θ = 43.53°, I = 424
(1 2 3), 2θ = 50.65°, I = 217
(4 1 1), 2θ = 51.08°, I = 214



Record 3
CsSn2BiSb: calculated powder diffractogram (CuKα), based on DFT lattice parameters and positions (PBE).
Kinematic intensities with the Lorentz-polarization factor, no thermal factor.

Structure:
Cell: 8.426 4.561 11.884 Å, 90.00 110.41 90.00°
Space group P2_1/m (No. 11)
Inequivalent atoms, fractional coordinates:
Cs  0.173  0.250  0.236 x2
Sn  0.097  0.250  0.633 x2
Sn  0.423  0.750  0.859 x2
Bi  0.282  0.750  0.566 x2
Sb  0.240  0.250  0.916 x2

The 12 most intense peaks (5 to 70 degrees two-theta), sorted by position:
(1 0 -1), 2θ = 11.25°, I = 291
(2 0 -1), 2θ = 21.07°, I = 149
(1 1 -1), 2θ = 22.53°, I = 459
(1 0 -3), 2θ = 22.63°, I = 143
(1 1 -2), 2θ = 25.26°, I = 118
(1 0 3), 2θ = 29.97°, I = 1000
(0 1 4), 2θ = 37.83°, I = 325
(2 1 -4), 2θ = 37.94°, I = 126
(0 2 0), 2θ = 39.52°, I = 164
(3 1 1), 2θ = 42.82°, I = 138
(4 0 -2), 2θ = 42.96°, I = 126
(1 2 3), 2θ = 50.37°, I = 168



Copy entry 2 word for word.
CsBiSbSe3: calculated powder diffractogram (CuKα), based on DFT lattice parameters and positions (PBE).
Kinematic intensities with the Lorentz-polarization factor, no thermal factor.

Structure:
Cell: 9.161 4.545 11.796 Å, 90.00 112.34 90.00°
Space group P2_1/m (No. 11)
Inequivalent atoms, fractional coordinates:
Cs  0.033  0.250  0.266 x2
Bi  0.473  0.750  0.846 x2
Sb  0.421  0.250  0.549 x2
Se  0.256  0.750  0.580 x2
Se  0.302  0.250  0.902 x2
Se  0.356  0.750  0.233 x2

The 12 most intense peaks (5 to 70 degrees two-theta), sorted by position:
(1 0 0), 2θ = 10.45°, I = 1000
(0 1 1), 2θ = 21.15°, I = 243
(1 1 -2), 2θ = 25.10°, I = 415
(2 1 -2), 2θ = 28.91°, I = 871
(1 0 3), 2θ = 30.20°, I = 442
(2 1 1), 2θ = 32.15°, I = 269
(3 1 -2), 2θ = 35.69°, I = 271
(0 2 0), 2θ = 39.66°, I = 271
(3 1 1), 2θ = 41.07°, I = 272
(1 1 -5), 2θ = 43.53°, I = 424
(1 2 3), 2θ = 50.65°, I = 217
(4 1 1), 2θ = 51.08°, I = 214